No. 1
For NaV2O5, DFT lattice parameters and positions (PBE+U) gives the computed powder diffractogram in this record (Cu Kα, 1.54184 Å).
No peak broadening, texture or thermal motion is included.

Structural model:
```
data_NaV2O5
_chemical_formula_sum 'Na2 V4 O10'
_cell_length_a 3.713
_cell_length_b 11.329
_cell_length_c 6.529
_cell_angle_alpha 90.00
_cell_angle_beta 90.00
_cell_angle_gamma 90.00
_space_group_name_H-M_alt 'P 1'
_space_group_IT_number 1
_space_group_name_Hall 'P 1'
loop_
_atom_site_label
_atom_site_fract_x
_atom_site_fract_y
_atom_site_fract_z
_atom_site_occupancy
Na1 0.250 0.250 0.093 1
Na2 0.750 0.750 0.907 1
V1 0.250 0.599 0.580 1
V2 0.250 0.901 0.580 1
V3 0.750 0.099 0.420 1
V4 0.750 0.401 0.420 1
O1 0.250 0.069 0.492 1
O2 0.250 0.431 0.492 1
O3 0.250 0.616 0.834 1
O4 0.250 0.750 0.485 1
O5 0.250 0.884 0.834 1
O6 0.750 0.116 0.166 1
O7 0.750 0.250 0.515 1
O8 0.750 0.384 0.166 1
O9 0.750 0.569 0.508 1
O10 0.750 0.931 0.508 1
```

The 12 most intense peaks (2θ = 5–70°), sorted by position:
d (Å)	intensity
6.529	1000
5.658	517
4.279	181
3.528	149
3.267	283
3.228	122
3.104	228
2.648	180
2.470	112
2.129	119
1.887	121
1.856	130

No. 2
For NaVO3, DFT lattice parameters and positions (PBE+U) gives the computed powder diffractogram in this record (Cu Kα, 1.54184 Å).
No peak broadening, texture or thermal motion is included.

Structural model:
```
data_NaVO3
_chemical_formula_sum 'Na4 V4 O12'
_cell_length_a 7.320
_cell_length_b 7.320
_cell_length_c 6.016
_cell_angle_alpha 104.94
_cell_angle_beta 104.94
_cell_angle_gamma 84.00
_space_group_name_H-M_alt 'P 1'
_space_group_IT_number 1
_space_group_name_Hall 'P 1'
loop_
_atom_site_label
_atom_site_fract_x
_atom_site_fract_y
_atom_site_fract_z
_atom_site_occupancy
Na1 0.091 0.909 0.750 1
Na2 0.277 0.723 0.250 1
Na3 0.723 0.277 0.750 1
Na4 0.909 0.091 0.250 1
V1 0.205 0.381 0.774 1
V2 0.381 0.205 0.274 1
V3 0.619 0.795 0.726 1
V4 0.795 0.619 0.226 1
O1 0.029 0.227 0.669 1
O2 0.117 0.603 0.825 1
O3 0.227 0.029 0.169 1
O4 0.347 0.353 0.062 1
O5 0.353 0.347 0.562 1
O6 0.397 0.883 0.675 1
O7 0.603 0.117 0.325 1
O8 0.647 0.653 0.438 1
O9 0.653 0.647 0.938 1
O10 0.773 0.971 0.831 1
O11 0.883 0.397 0.175 1
O12 0.971 0.773 0.331 1
```

The 12 most intense peaks (2θ = 5–70°), sorted by position:
d (Å)	intensity
5.102	264
4.898	142
3.699	579
3.534	201
3.383	1000
3.295	176
3.213	410
2.821	428
2.716	210
1.856	207
1.811	166
1.533	163

No. 3
For NaV3O8, DFT lattice parameters and positions (PBE+U) gives the computed powder diffractogram in this record (Cu Kα, 1.54184 Å).
No peak broadening, texture or thermal motion is included.

Structural model:
```
data_NaV3O8
_chemical_formula_sum 'Na2 V6 O16'
_cell_length_a 5.123
_cell_length_b 8.548
_cell_length_c 7.443
_cell_angle_alpha 90.00
_cell_angle_beta 101.99
_cell_angle_gamma 90.00
_space_group_name_H-M_alt 'P 1'
_space_group_IT_number 1
_space_group_name_Hall 'P 1'
loop_
_atom_site_label
_atom_site_fract_x
_atom_site_fract_y
_atom_site_fract_z
_atom_site_occupancy
Na1 0.029 0.250 0.050 1
Na2 0.971 0.750 0.950 1
V1 0.067 0.750 0.426 1
V2 0.465 0.055 0.698 1
V3 0.465 0.445 0.698 1
V4 0.535 0.555 0.302 1
V5 0.535 0.945 0.302 1
V6 0.933 0.250 0.574 1
O1 0.084 0.250 0.402 1
O2 0.142 0.102 0.740 1
O3 0.142 0.398 0.740 1
O4 0.322 0.588 0.492 1
O5 0.322 0.912 0.492 1
O6 0.380 0.750 0.217 1
O7 0.389 0.069 0.147 1
O8 0.389 0.431 0.147 1
O9 0.611 0.569 0.853 1
O10 0.611 0.931 0.853 1
O11 0.620 0.250 0.783 1
O12 0.678 0.088 0.508 1
O13 0.678 0.412 0.508 1
O14 0.858 0.602 0.260 1
O15 0.858 0.898 0.260 1
O16 0.916 0.750 0.598 1
```

The 12 most intense peaks (2θ = 5–70°), sorted by position:
d (Å)	intensity
7.280	882
5.542	592
3.349	197
3.288	315
3.252	1000
2.830	208
2.771	240
2.505	156
2.299	185
1.957	379
1.534	136
1.424	137

No. 4
For NaV6O13, DFT lattice parameters and positions (PBE+U) gives the computed powder diffractogram in this record (Cu Kα, 1.54184 Å).
No peak broadening, texture or thermal motion is included.

Structural model:
```
data_NaV6O13
_chemical_formula_sum 'Na2 V12 O26'
_cell_length_a 3.752
_cell_length_b 11.536
_cell_length_c 12.120
_cell_angle_alpha 111.23
_cell_angle_beta 90.08
_cell_angle_gamma 99.36
_space_group_name_H-M_alt 'P 1'
_space_group_IT_number 1
_space_group_name_Hall 'P 1'
loop_
_atom_site_label
_atom_site_fract_x
_atom_site_fract_y
_atom_site_fract_z
_atom_site_occupancy
Na1 0.000 0.000 0.000 1
Na2 0.348 0.695 0.438 1
V1 0.099 0.205 0.434 1
V2 0.126 0.244 0.759 1
V3 0.221 0.450 0.676 1
V4 0.242 0.489 0.003 1
V5 0.400 0.799 0.797 1
V6 0.419 0.835 0.113 1
V7 0.599 0.204 0.234 1
V8 0.609 0.221 0.945 1
V9 0.734 0.473 0.490 1
V10 0.743 0.489 0.202 1
V11 0.945 0.897 0.645 1
V12 0.949 0.860 0.330 1
O1 0.021 0.044 0.393 1
O2 0.026 0.055 0.692 1
O3 0.107 0.221 0.274 1
O4 0.129 0.264 0.610 1
O5 0.132 0.268 0.936 1
O6 0.210 0.426 0.499 1
O7 0.212 0.428 0.826 1
O8 0.234 0.472 0.163 1
O9 0.320 0.643 0.745 1
O10 0.324 0.649 0.043 1
O11 0.419 0.844 0.289 1
O12 0.421 0.846 0.653 1
O13 0.423 0.844 0.953 1
O14 0.520 0.046 0.164 1
O15 0.532 0.065 0.908 1
O16 0.617 0.235 0.784 1
O17 0.619 0.245 0.412 1
O18 0.628 0.261 0.117 1
O19 0.713 0.432 0.319 1
O20 0.722 0.448 0.024 1
O21 0.728 0.461 0.651 1
O22 0.813 0.629 0.526 1
O23 0.825 0.648 0.272 1
O24 0.918 0.850 0.473 1
O25 0.921 0.842 0.786 1
O26 0.926 0.852 0.147 1
```

The 12 most intense peaks (2θ = 5–70°), sorted by position:
d (Å)	intensity
10.587	260
5.967	295
5.293	359
3.579	1000
3.529	632
3.301	226
3.012	290
2.728	444
2.117	341
2.020	409
1.876	538
1.572	271